# Rb3Bi7Pb3I10O10
Computed XRD peak list, Cu Kα X-rays. Input: a GGA-PBE-relaxed structure.

Principal peaks in the range 2θ = 15–90°, by angle:
2θ (°)  d_spacing  Rel. int.
22.58  3.938  63
24.16  3.683  48
24.23  3.673  67
25.83  3.449  46
26.56  3.356  100
27.71  3.219  72
28.89  3.090  83
29.68  3.010  91
30.25  2.954  63
33.06  2.709  70

a = 6.6651 Å, b = 8.6162 Å, c = 21.0369 Å
α = 80.62°, β = 82.69°, γ = 77.51°
Positions (direct):
Rb: 0.0000 0.0000 0.0000
Rb: 0.1453 0.1979 0.2796
Rb: 0.7523 0.8392 0.3209
Bi: 0.0872 0.6009 0.5931
Bi: 0.1446 0.8816 0.7318
Bi: 0.2559 0.4676 0.7547
Bi: 0.4021 0.2430 0.9589
Bi: 0.4959 0.9845 0.4985
Bi: 0.5447 0.3545 0.5839
Bi: 0.9753 0.4294 0.0813
Pb: 0.2524 0.7077 0.1706
Pb: 0.4697 0.3553 0.4061
Pb: 0.8884 0.3926 0.8678
I: 0.0258 0.0043 0.5512
I: 0.1022 0.6156 0.9503
I: 0.2731 0.7644 0.4084
I: 0.5285 0.7976 0.0459
I: 0.5612 0.9586 0.6748
I: 0.6104 0.4732 0.2482
I: 0.7580 0.4430 0.7051
I: 0.7736 0.0563 0.8478
I: 0.8554 0.0595 0.1643
I: 0.8912 0.4410 0.4330
O: 0.1437 0.5114 0.1400
O: 0.1486 0.6813 0.6803
O: 0.1861 0.2312 0.8987
O: 0.1994 0.2406 0.0458
O: 0.2008 0.8755 0.3235
O: 0.2501 0.6873 0.7982
O: 0.2568 0.3821 0.6459
O: 0.3861 0.5844 0.5382
O: 0.4379 0.2303 0.5155
O: 0.5578 0.0823 0.4030

***

# Rb5BiI10O2
Computed XRD peak list, Cu Kα X-rays. Input: a GGA-PBE-relaxed structure.

Principal peaks in the range 2θ = 15–90°, by angle:
2θ (°)  d_spacing  Rel. int.
15.38  5.761  15
26.83  3.323  100
29.30  3.048  16
30.35  2.945  10
31.05  2.881  39
34.93  2.568  11
40.12  2.248  11
44.55  2.034  18
47.38  1.919  16
55.26  1.662  12

a = 14.2624 Å, b = 14.2624 Å, c = 14.2624 Å
α = 107.78°, β = 107.78°, γ = 107.78°
Positions (direct):
Rb: 0.9997 0.3355 0.6648
Rb: 0.9997 0.6648 0.3355
Rb: 0.0833 0.0833 0.8678
Rb: 0.0833 0.8678 0.0833
Rb: 0.2632 0.2632 0.4840
Rb: 0.2632 0.4840 0.2632
Rb: 0.3355 0.9997 0.6648
Rb: 0.3355 0.6648 0.9997
Rb: 0.4840 0.2632 0.2632
Rb: 0.5195 0.7373 0.7373
Rb: 0.6648 0.9997 0.3355
Rb: 0.6648 0.3354 0.9997
Rb: 0.7373 0.5195 0.7373
Rb: 0.7373 0.7373 0.5195
Rb: 0.8678 0.0834 0.0833
Bi: 0.4958 0.9969 0.9969
Bi: 0.9969 0.4958 0.9969
Bi: 0.9969 0.9970 0.4958
I: 0.0001 0.4999 0.4999
I: 0.0402 0.6111 0.8518
I: 0.0402 0.8518 0.6111
I: 0.1511 0.3894 0.9599
I: 0.1511 0.9599 0.3894
I: 0.1716 0.1716 0.1716
I: 0.2008 0.2008 0.6981
I: 0.2008 0.6980 0.2008
I: 0.2163 0.5158 0.5158
I: 0.3011 0.7958 0.7958
I: 0.3894 0.1511 0.9599
I: 0.3894 0.9599 0.1511
I: 0.4831 0.4831 0.7831
I: 0.4831 0.7831 0.4831
I: 0.4994 0.4994 0.4994
I: 0.4999 0.0001 0.4999
I: 0.4999 0.4999 0.0001
I: 0.5158 0.2163 0.5158
I: 0.5158 0.5158 0.2163
I: 0.6111 0.0402 0.8518
I: 0.6111 0.8518 0.0402
I: 0.6981 0.2008 0.2008
I: 0.7831 0.4831 0.4831
I: 0.7958 0.3011 0.7958
I: 0.7958 0.7958 0.3011
I: 0.8374 0.8374 0.8374
I: 0.8518 0.0402 0.6111
I: 0.8518 0.6111 0.0402
I: 0.9599 0.1511 0.3894
I: 0.9599 0.3894 0.1511
O: 0.2370 0.5000 0.7631
O: 0.2370 0.7631 0.5000
O: 0.5000 0.2370 0.7631
O: 0.5000 0.7631 0.2370
O: 0.7631 0.2370 0.5000
O: 0.7631 0.5000 0.2370

***

# SrBi3I3O4
Computed XRD peak list, Cu Kα X-rays. Input: a GGA-PBE-relaxed structure.

Principal peaks in the range 2θ = 15–90°, by angle:
2θ (°)  d_spacing  Rel. int.
29.10  3.069  100
31.13  2.873  41
38.44  2.342  8
44.61  2.031  19
50.26  1.815  20
54.14  1.694  36
60.31  1.535  9
72.68  1.301  8
86.38  1.126  9
89.45  1.096  9

a = 16.6444 Å, b = 16.6444 Å, c = 16.6444 Å
α = 165.98°, β = 165.98°, γ = 19.88°
Positions (direct):
Sr: 0.0000 0.0000 0.0000
Bi: 0.2812 0.2812 0.0000
Bi: 0.4266 0.4266 0.0000
Bi: 0.7066 0.7066 0.0000
I: 0.1525 0.1525 0.0000
I: 0.5579 0.5579 0.0000
I: 0.8413 0.8413 0.0000
O: 0.2457 0.7457 0.5000
O: 0.4551 0.9551 0.5000
O: 0.7457 0.2457 0.5000
O: 0.9551 0.4551 0.5000

***

# TbBi2IO4
Computed XRD peak list, Cu Kα X-rays. Input: a GGA-PBE-relaxed structure.

Principal peaks in the range 2θ = 15–90°, by angle:
2θ (°)  d_spacing  Rel. int.
29.09  3.070  100
32.01  2.796  32
36.93  2.434  11
45.90  1.977  17
49.65  1.836  27
55.26  1.662  34
60.31  1.535  11
61.79  1.501  12
80.29  1.196  12
87.75  1.112  11

a = 3.9545 Å, b = 3.9545 Å, c = 9.7372 Å
α = 90.00°, β = 90.00°, γ = 90.00°
Positions (direct):
Tb: 0.0000 0.0000 0.0000
Bi: 0.5000 0.5000 0.2562
Bi: 0.5000 0.5000 0.7438
I: 0.0000 0.0000 0.5000
O: 0.0000 0.5000 0.1426
O: 0.0000 0.5000 0.8574
O: 0.5000 0.0000 0.1426
O: 0.5000 0.0000 0.8574

***

# BiTeIO3
Computed XRD peak list, Cu Kα X-rays. Input: a GGA-PBE-relaxed structure.

Principal peaks in the range 2θ = 15–90°, by angle:
2θ (°)  d_spacing  Rel. int.
29.01  3.078  100
31.89  2.807  39
35.71  2.514  8
36.90  2.436  13
45.72  1.985  20
49.54  1.840  20
55.06  1.668  34
60.13  1.539  9
74.28  1.277  7
87.40  1.116  8

a = 3.9690 Å, b = 3.9690 Å, c = 29.2475 Å
α = 90.00°, β = 90.00°, γ = 90.00°
Positions (direct):
Bi: 0.2500 0.2500 0.0429
Bi: 0.2500 0.2500 0.7108
Bi: 0.7500 0.7500 0.2892
Bi: 0.7500 0.7500 0.9571
Te: 0.2500 0.2500 0.2121
Te: 0.2500 0.2500 0.3751
Te: 0.7500 0.7500 0.6249
Te: 0.7500 0.7500 0.7879
I: 0.2500 0.2500 0.5560
I: 0.2500 0.2500 0.8928
I: 0.7500 0.7500 0.1072
I: 0.7500 0.7500 0.4440
O: 0.2500 0.2500 0.2800
O: 0.2500 0.7500 0.0000
O: 0.2500 0.7500 0.2274
O: 0.2500 0.7500 0.3446
O: 0.2500 0.7500 0.6554
O: 0.2500 0.7500 0.7726
O: 0.7500 0.2500 0.0000
O: 0.7500 0.2500 0.2274
O: 0.7500 0.2500 0.3446
O: 0.7500 0.2500 0.6554
O: 0.7500 0.2500 0.7726
O: 0.7500 0.7500 0.7200

***

# BiTeIO3
Computed XRD peak list, Cu Kα X-rays. Input: a GGA-PBE-relaxed structure.

Principal peaks in the range 2θ = 15–90°, by angle:
2θ (°)  d_spacing  Rel. int.
25.48  3.495  50
27.95  3.192  100
29.87  2.991  44
31.68  2.825  37
31.74  2.819  8
36.66  2.452  13
45.68  1.986  17
46.47  1.954  33
51.86  1.763  16
54.22  1.692  9

a = 9.5886 Å, b = 7.1741 Å, c = 8.1404 Å
α = 90.00°, β = 105.98°, γ = 90.00°
Positions (direct):
Bi: 0.0953 0.1251 0.3345
Bi: 0.0953 0.3749 0.8345
Bi: 0.9047 0.6251 0.1655
Bi: 0.9047 0.8749 0.6655
Te: 0.2278 0.6759 0.5141
Te: 0.2278 0.8241 0.0141
Te: 0.7722 0.1759 0.9859
Te: 0.7722 0.3241 0.4859
I: 0.3603 0.1617 0.6518
I: 0.3603 0.3383 0.1518
I: 0.6397 0.6617 0.8482
I: 0.6397 0.8383 0.3482
O: 0.0657 0.6501 0.9736
O: 0.0657 0.8499 0.4736
O: 0.1056 0.0066 0.8774
O: 0.1056 0.4934 0.3774
O: 0.2096 0.6170 0.7365
O: 0.2096 0.8830 0.2365
O: 0.7904 0.1170 0.7635
O: 0.7904 0.3830 0.2635
O: 0.8944 0.5066 0.6226
O: 0.8944 0.9934 0.1226
O: 0.9343 0.1501 0.5264
O: 0.9343 0.3499 0.0264

***

# Bi10Te2I4O17
Computed XRD peak list, Cu Kα X-rays. Input: a GGA-PBE-relaxed structure.

Principal peaks in the range 2θ = 15–90°, by angle:
2θ (°)  d_spacing  Rel. int.
28.73  3.107  100
31.68  2.825  34
36.35  2.472  10
45.41  1.997  18
48.97  1.860  23
54.62  1.680  34
59.50  1.554  10
60.80  1.523  9
79.06  1.211  8
86.53  1.125  9

a = 7.9897 Å, b = 10.6634 Å, c = 10.6634 Å
α = 44.00°, β = 90.00°, γ = 90.00°
Positions (direct):
Bi: 0.0000 0.0000 0.0000
Bi: 0.0000 0.2324 0.2324
Bi: 0.0000 0.7257 0.7257
Bi: 0.2434 0.1131 0.5997
Bi: 0.2434 0.5997 0.1131
Bi: 0.5000 0.2257 0.2257
Bi: 0.5000 0.5000 0.5000
Bi: 0.5000 0.7330 0.7330
Bi: 0.7566 0.1131 0.5997
Bi: 0.7566 0.5997 0.1131
Te: 0.0000 0.4645 0.4645
Te: 0.5000 0.9807 0.9807
I: 0.2490 0.3662 0.8664
I: 0.2490 0.8664 0.3662
I: 0.7510 0.3662 0.8664
I: 0.7510 0.8664 0.3662
O: 0.0000 0.0245 0.5409
O: 0.0000 0.1787 0.7060
O: 0.0000 0.3687 0.3687
O: 0.0000 0.5409 0.0245
O: 0.0000 0.7060 0.1787
O: 0.2485 0.7878 0.7878
O: 0.2583 0.2827 0.2827
O: 0.2636 0.4424 0.4424
O: 0.2655 0.9404 0.9404
O: 0.5000 0.0393 0.5363
O: 0.5000 0.1756 0.7056
O: 0.5000 0.5363 0.0393
O: 0.5000 0.7056 0.1756
O: 0.7345 0.9404 0.9404
O: 0.7364 0.4424 0.4424
O: 0.7417 0.2827 0.2827
O: 0.7515 0.7878 0.7878

***

# Bi20Pt3I36
Computed XRD peak list, Cu Kα X-rays. Input: a GGA-PBE-relaxed structure.

Principal peaks in the range 2θ = 15–90°, by angle:
2θ (°)  d_spacing  Rel. int.
27.50  3.244  59
27.55  3.238  100
35.14  2.554  12
39.17  2.300  15
39.23  2.297  29
39.37  2.289  18
39.43  2.285  20
39.53  2.280  15
43.73  2.070  11
48.52  1.876  12

a = 12.0923 Å, b = 12.1229 Å, c = 19.5083 Å
α = 74.38°, β = 74.46°, γ = 86.31°
Positions (direct):
Bi: 0.0302 0.3167 0.1131
Bi: 0.0964 0.6398 0.0595
Bi: 0.1115 0.8632 0.4251
Bi: 0.2135 0.4541 0.9168
Bi: 0.2203 0.6813 0.2847
Bi: 0.2883 0.0065 0.2260
Bi: 0.3406 0.8394 0.8310
Bi: 0.3513 0.6380 0.4508
Bi: 0.4227 0.9627 0.3979
Bi: 0.4647 0.2236 0.7469
Bi: 0.5353 0.7764 0.2531
Bi: 0.5773 0.0373 0.6021
Bi: 0.6487 0.3620 0.5492
Bi: 0.6594 0.1606 0.1690
Bi: 0.7117 0.9935 0.7740
Bi: 0.7797 0.3187 0.7153
Bi: 0.7865 0.5459 0.0832
Bi: 0.8885 0.1368 0.5749
Bi: 0.9036 0.3602 0.9405
Bi: 0.9698 0.6833 0.8869
Pt: 0.0000 0.5000 0.0000
Pt: 0.3251 0.8250 0.3377
Pt: 0.6749 0.1750 0.6623
I: 0.0288 0.2848 0.6311
I: 0.0563 0.0862 0.3022
I: 0.0915 0.8782 0.9314
I: 0.1204 0.6669 0.5617
I: 0.1303 0.2871 0.8448
I: 0.1352 0.4526 0.1951
I: 0.1905 0.8769 0.1406
I: 0.2044 0.0450 0.4901
I: 0.2206 0.6697 0.7720
I: 0.2478 0.4562 0.4000
I: 0.2746 0.2495 0.0357
I: 0.3036 0.0419 0.7067
I: 0.3630 0.6235 0.9647
I: 0.3918 0.4187 0.6326
I: 0.4253 0.2107 0.2628
I: 0.4498 0.9957 0.8953
I: 0.4586 0.6196 0.1758
I: 0.4750 0.7828 0.5266
I: 0.5250 0.2172 0.4734
I: 0.5414 0.3804 0.8242
I: 0.5502 0.0043 0.1047
I: 0.5747 0.7893 0.7372
I: 0.6082 0.5813 0.3674
I: 0.6370 0.3765 0.0353
I: 0.6964 0.9581 0.2933
I: 0.7254 0.7505 0.9643
I: 0.7522 0.5438 0.6000
I: 0.7794 0.3303 0.2280
I: 0.7956 0.9550 0.5099
I: 0.8095 0.1231 0.8594
I: 0.8648 0.5474 0.8049
I: 0.8697 0.7129 0.1552
I: 0.8796 0.3331 0.4383
I: 0.9085 0.1218 0.0686
I: 0.9437 0.9138 0.6978
I: 0.9712 0.7152 0.3689

***

Q: What is the formula in the third record?
A: SrBi3I3O4

***

Copy entry 5 word for word.
# BiTeIO3
Computed XRD peak list, Cu Kα X-rays. Input: a GGA-PBE-relaxed structure.

Principal peaks in the range 2θ = 15–90°, by angle:
2θ (°)  d_spacing  Rel. int.
29.01  3.078  100
31.89  2.807  39
35.71  2.514  8
36.90  2.436  13
45.72  1.985  20
49.54  1.840  20
55.06  1.668  34
60.13  1.539  9
74.28  1.277  7
87.40  1.116  8

a = 3.9690 Å, b = 3.9690 Å, c = 29.2475 Å
α = 90.00°, β = 90.00°, γ = 90.00°
Positions (direct):
Bi: 0.2500 0.2500 0.0429
Bi: 0.2500 0.2500 0.7108
Bi: 0.7500 0.7500 0.2892
Bi: 0.7500 0.7500 0.9571
Te: 0.2500 0.2500 0.2121
Te: 0.2500 0.2500 0.3751
Te: 0.7500 0.7500 0.6249
Te: 0.7500 0.7500 0.7879
I: 0.2500 0.2500 0.5560
I: 0.2500 0.2500 0.8928
I: 0.7500 0.7500 0.1072
I: 0.7500 0.7500 0.4440
O: 0.2500 0.2500 0.2800
O: 0.2500 0.7500 0.0000
O: 0.2500 0.7500 0.2274
O: 0.2500 0.7500 0.3446
O: 0.2500 0.7500 0.6554
O: 0.2500 0.7500 0.7726
O: 0.7500 0.2500 0.0000
O: 0.7500 0.2500 0.2274
O: 0.7500 0.2500 0.3446
O: 0.7500 0.2500 0.6554
O: 0.7500 0.2500 0.7726
O: 0.7500 0.7500 0.7200